Diffraction record for RbTl3Mo2O8. The powder diffractogram is theoretical, not measured: it uses the GGA+U geometry in Alexandria and Cu Kα X-rays.
Neutral-atom scattering factors, no anomalous dispersion.

Cell and atoms:
Cell: 6.407 6.407 8.550 Å, 90.00 90.00 120.00°
Fractional coordinates of all 14 atoms:
Rb (0.000, 0.000, 0.000)
Tl (0.000, 0.000, 0.500)
Tl (0.333, 0.667, 0.196)
Tl (0.667, 0.333, 0.804)
Mo (0.333, 0.667, 0.687)
Mo (0.667, 0.333, 0.313)
O (0.181, 0.362, 0.759)
O (0.181, 0.819, 0.759)
O (0.333, 0.667, 0.476)
O (0.362, 0.181, 0.241)
O (0.638, 0.819, 0.759)
O (0.667, 0.333, 0.524)
O (0.819, 0.181, 0.241)
O (0.819, 0.638, 0.241)

The 10 most intense peaks (2θ = 15–90°), most intense first:
hkl 0 1 2, 26.3 deg, 3.386 Å, rel. 100.0; hkl 1 1 0, 27.8 deg, 3.204 Å, rel. 99.2; hkl 2 0 2, 38.7 deg, 2.327 Å, rel. 43.3; hkl 1 2 2, 48.3 deg, 1.883 Å, rel. 36.4; hkl 1 0 4, 45.5 deg, 1.995 Å, rel. 21.5; hkl 3 0 0, 49.3 deg, 1.850 Å, rel. 20.6; hkl 1 0 1, 19.1 deg, 4.655 Å, rel. 19.4; hkl 2 1 4, 62.0 deg, 1.497 Å, rel. 17.9; hkl 3 1 2, 64.3 deg, 1.448 Å, rel. 17.0; hkl 2 2 0, 57.5 deg, 1.602 Å, rel. 16.1